# 1
HoTh3Ge4: calculated powder diffraction line list (copper Kα), based on a crystal structure in Alexandria, relaxed with PBE.

Atomic structure:
```
HoTh3Ge4
1.0
7.3775 0.0000 0.0000
0.0000 8.4929 0.0000
-2.4578 0.0000 6.9907
Ho Th Ge
2 6 8
Cartesian
-0.6144 1.0603 1.7477
-1.8433 7.4327 5.2430
-1.8433 3.1669 5.2430
-0.6144 5.3261 1.7477
1.8454 1.0530 5.2430
3.0743 3.1681 1.7477
1.8454 5.3249 5.2430
3.0743 7.4399 1.7477
-0.6529 1.0335 6.9879
0.5760 7.4594 3.4926
0.6016 3.1695 3.4774
-0.6273 5.3235 6.9727
5.5470 3.1695 0.0180
4.3181 5.3235 3.5133
4.3437 1.0335 3.4981
5.5726 7.4594 0.0028
```

Peak list (10 most intense, 10 to 90 degrees two-theta, most intense first)
2θ = 29.6°, I = 100
2θ = 42.3°, I = 38
2θ = 25.6°, I = 31
2θ = 42.5°, I = 25
2θ = 69.6°, I = 18
2θ = 52.7°, I = 14
2θ = 61.5°, I = 13
2θ = 42.6°, I = 13
2θ = 50.2°, I = 12
2θ = 69.9°, I = 12



# 2
Tb7Y5: calculated powder diffraction line list (copper Kα), based on a crystal structure in Alexandria, relaxed with PBE.

Atomic structure:
```
Tb7Y5
1.0
9.3027 -1.7897 0.0000
9.3027 1.7897 0.0000
-6.2044 0.0000 11.5582
Tb Y
7 5
Cartesian
0.0000 0.0000 0.0000
-2.0673 0.0000 8.6643
-0.0021 0.0000 5.7720
4.1360 0.0000 8.6736
8.2649 0.0000 2.8846
12.4030 0.0000 5.7862
14.4682 0.0000 2.8939
2.0703 0.0000 2.8966
6.2044 0.0000 0.0060
6.2005 0.0000 5.7791
6.1965 0.0000 11.5522
10.3306 0.0000 8.6616
```

Peak list (10 most intense, 10 to 90 degrees two-theta, most intense first)
2θ = 32.8°, I = 100
2θ = 29.8°, I = 48
2θ = 30.9°, I = 35
2θ = 60.9°, I = 30
2θ = 37.2°, I = 27
2θ = 51.0°, I = 26
2θ = 56.2°, I = 21
2θ = 62.0°, I = 16
2θ = 84.3°, I = 13
2θ = 49.2°, I = 12